(1)
# Na4Cd2F9
Theoretical powder diffractogram, Cu Kα. Input: a DFT-relaxed cell (PBE, Alexandria).

Most intense lines, 2θ from 5° to 70°, by angle:
d_spacing  I (rel.)
5.020  100
4.210  25
3.062  79
2.898  42
2.526  21
2.319  18
2.105  37
1.926  38
1.703  34
1.673  28

Atomic structure:
Cell: 5.797 5.797 15.458 Å, 90.00 90.00 120.00°
Fractional coordinates of all 30 atoms:
Na: 0.333 0.667 0.188
Na: 0.333 0.667 0.481
Na: 0.333 0.667 0.688
Na: 0.333 0.667 0.981
Na: 0.667 0.333 0.019
Na: 0.667 0.333 0.312
Na: 0.667 0.333 0.519
Na: 0.667 0.333 0.812
Cd: 0.000 0.000 0.144
Cd: 0.000 0.000 0.356
Cd: 0.000 0.000 0.644
Cd: 0.000 0.000 0.856
F: 0.000 0.282 0.250
F: 0.000 0.718 0.750
F: 0.035 0.357 0.585
F: 0.035 0.678 0.085
F: 0.282 0.000 0.250
F: 0.282 0.282 0.750
F: 0.322 0.357 0.085
F: 0.322 0.965 0.585
F: 0.357 0.035 0.915
F: 0.357 0.322 0.415
F: 0.643 0.678 0.585
F: 0.643 0.965 0.085
F: 0.678 0.035 0.415
F: 0.678 0.643 0.915
F: 0.718 0.000 0.750
F: 0.718 0.718 0.250
F: 0.965 0.322 0.915
F: 0.965 0.643 0.415


(2)
# NaCd4F8
Theoretical powder diffractogram, Cu Kα. Input: a DFT-relaxed cell (PBE, Alexandria).

Most intense lines, 2θ from 5° to 70°, by angle:
d_spacing  I (rel.)
5.703  100
2.979  63
2.852  31
2.470  55
2.266  17
1.901  29
1.746  41
1.670  20
1.489  16
1.426  11

Atomic structure:
Cell: 6.985 6.985 6.985 Å, 60.00 60.00 60.00°
Fractional coordinates of all 13 atoms:
Na: 0.000 0.000 0.000
Cd: 0.125 0.625 0.625
Cd: 0.625 0.125 0.625
Cd: 0.625 0.625 0.125
Cd: 0.625 0.625 0.625
F: 0.393 0.393 0.393
F: 0.393 0.393 0.820
F: 0.393 0.820 0.393
F: 0.409 0.864 0.864
F: 0.820 0.393 0.393
F: 0.864 0.409 0.864
F: 0.864 0.864 0.409
F: 0.864 0.864 0.864


(3)
# Na2CdPbF8
Theoretical powder diffractogram, Cu Kα. Input: a DFT-relaxed cell (PBE, Alexandria).

Most intense lines, 2θ from 5° to 70°, by angle:
d_spacing  I (rel.)
7.763  22
5.555  100
3.881  40
3.818  37
3.182  89
3.146  85
2.444  42
1.944  83
1.652  25
1.637  25

Atomic structure:
Cell: 3.818 7.763 5.555 Å, 90.00 90.14 90.00°
Fractional coordinates of all 12 atoms:
Na: 0.000 0.235 0.000
Na: 0.000 0.765 0.000
Cd: 0.500 0.000 0.500
Pb: 0.500 0.500 0.500
F: 0.000 0.000 0.261
F: 0.000 0.000 0.739
F: 0.000 0.500 0.274
F: 0.000 0.500 0.726
F: 0.499 0.277 0.734
F: 0.499 0.723 0.734
F: 0.501 0.277 0.266
F: 0.501 0.723 0.266


(4)
# NaCdPdF6
Theoretical powder diffractogram, Cu Kα. Input: a DFT-relaxed cell (PBE, Alexandria).

Most intense lines, 2θ from 5° to 70°, by angle:
d_spacing  I (rel.)
5.252  16
4.538  47
3.558  100
2.874  75
2.516  14
1.893  72
1.779  20
1.591  13
1.571  17
1.513  24

Atomic structure:
Cell: 5.032 5.032 10.504 Å, 90.00 90.00 90.00°
Fractional coordinates of all 18 atoms:
Na: 0.000 0.000 0.000
Na: 0.500 0.500 0.500
Cd: 0.000 0.000 0.664
Cd: 0.500 0.500 0.164
Pd: 0.000 0.000 0.332
Pd: 0.500 0.500 0.832
F: 0.187 0.187 0.489
F: 0.192 0.192 0.178
F: 0.222 0.222 0.830
F: 0.278 0.722 0.330
F: 0.308 0.692 0.678
F: 0.313 0.687 0.989
F: 0.687 0.313 0.989
F: 0.692 0.308 0.678
F: 0.722 0.278 0.330
F: 0.778 0.778 0.830
F: 0.808 0.808 0.178
F: 0.813 0.813 0.489


(5)
# Na2CdPdF8
Theoretical powder diffractogram, Cu Kα. Input: a DFT-relaxed cell (PBE, Alexandria).

Most intense lines, 2θ from 5° to 70°, by angle:
d_spacing  I (rel.)
5.241  89
4.891  68
3.666  91
3.494  100
2.911  50
2.846  55
2.532  65
1.956  33
1.899  55
1.563  36

Atomic structure:
Cell: 4.896 7.000 5.247 Å, 90.00 92.79 90.00°
Fractional coordinates of all 12 atoms:
Na: 0.000 0.249 0.000
Na: 0.000 0.751 0.000
Cd: 0.500 0.500 0.500
Pd: 0.500 0.000 0.500
F: 0.202 0.500 0.202
F: 0.231 0.000 0.213
F: 0.306 0.207 0.665
F: 0.306 0.793 0.665
F: 0.694 0.207 0.335
F: 0.694 0.793 0.335
F: 0.769 0.000 0.787
F: 0.798 0.500 0.798


(6)
# Na2PmCdF8
Theoretical powder diffractogram, Cu Kα. Input: a DFT-relaxed cell (PBE, Alexandria).

Most intense lines, 2θ from 5° to 70°, by angle:
d_spacing  I (rel.)
5.527  49
3.916  39
3.195  100
2.767  12
2.475  21
2.258  18
1.957  79
1.845  11
1.669  43
1.479  9

Atomic structure:
Cell: 3.916 5.527 7.830 Å, 90.00 90.00 90.00°
Fractional coordinates of all 12 atoms:
Na: 0.000 0.000 0.243
Na: 0.000 0.000 0.757
Pm: 0.500 0.500 0.500
Cd: 0.500 0.500 0.000
F: 0.000 0.261 0.500
F: 0.000 0.265 0.000
F: 0.000 0.735 0.000
F: 0.000 0.739 0.500
F: 0.500 0.262 0.250
F: 0.500 0.262 0.750
F: 0.500 0.738 0.250
F: 0.500 0.738 0.750


(7)
# NaCdRuF6
Theoretical powder diffractogram, Cu Kα. Input: a DFT-relaxed cell (PBE, Alexandria).

Most intense lines, 2θ from 5° to 70°, by angle:
d_spacing  I (rel.)
4.833  7
4.304  35
3.380  100
2.791  32
2.403  12
2.152  28
1.804  43
1.704  26
1.611  19
1.499  8

Atomic structure:
Cell: 5.581 5.581 9.457 Å, 90.00 90.00 120.00°
Fractional coordinates of all 18 atoms:
Na: 0.333 0.667 0.250
Na: 0.667 0.333 0.750
Cd: 0.000 0.000 0.000
Cd: 0.000 0.000 0.500
Ru: 0.333 0.667 0.750
Ru: 0.667 0.333 0.250
F: 0.034 0.363 0.630
F: 0.034 0.671 0.870
F: 0.329 0.363 0.870
F: 0.329 0.966 0.630
F: 0.363 0.034 0.130
F: 0.363 0.329 0.370
F: 0.637 0.671 0.630
F: 0.637 0.966 0.870
F: 0.671 0.034 0.370
F: 0.671 0.637 0.130
F: 0.966 0.329 0.130
F: 0.966 0.637 0.370


(8)
# NaCd2SbF8
Theoretical powder diffractogram, Cu Kα. Input: a DFT-relaxed cell (PBE, Alexandria).

Most intense lines, 2θ from 5° to 70°, by angle:
d_spacing  I (rel.)
7.733  19
4.495  25
3.219  100
3.168  96
2.765  32
1.980  24
1.955  91
1.933  20
1.679  29
1.657  24

Atomic structure:
Cell: 3.960 5.525 7.733 Å, 90.00 90.00 90.00°
Fractional coordinates of all 12 atoms:
Na: 0.000 0.000 0.000
Cd: 0.500 0.500 0.233
Cd: 0.500 0.500 0.767
Sb: 0.000 0.000 0.500
F: 0.000 0.254 0.270
F: 0.000 0.254 0.730
F: 0.000 0.746 0.270
F: 0.000 0.746 0.730
F: 0.500 0.243 0.500
F: 0.500 0.254 0.000
F: 0.500 0.746 0.000
F: 0.500 0.757 0.500


(9)
# Na2ScCdF8
Theoretical powder diffractogram, Cu Kα. Input: a DFT-relaxed cell (PBE, Alexandria).

Most intense lines, 2θ from 5° to 70°, by angle:
d_spacing  I (rel.)
7.552  19
5.549  65
3.776  19
3.122  77
3.088  75
1.916  100
1.888  23
1.858  24
1.611  20
1.597  19

Atomic structure:
Cell: 3.717 5.549 7.552 Å, 90.00 90.00 90.00°
Fractional coordinates of all 12 atoms:
Na: 0.000 0.000 0.248
Na: 0.000 0.000 0.752
Sc: 0.500 0.500 0.000
Cd: 0.500 0.500 0.500
F: 0.000 0.259 0.500
F: 0.000 0.283 0.000
F: 0.000 0.717 0.000
F: 0.000 0.741 0.500
F: 0.500 0.272 0.225
F: 0.500 0.272 0.775
F: 0.500 0.728 0.225
F: 0.500 0.728 0.775


(10)
# NaSrCdF6
Theoretical powder diffractogram, Cu Kα. Input: a DFT-relaxed cell (PBE, Alexandria).

Most intense lines, 2θ from 5° to 70°, by angle:
d_spacing  I (rel.)
5.016  25
3.627  100
2.896  25
2.536  15
2.263  27
1.945  43
1.783  26
1.672  18
1.653  10
1.345  10

Atomic structure:
Cell: 5.792 5.792 5.252 Å, 90.00 90.00 120.00°
Fractional coordinates of all 9 atoms:
Na: 0.000 0.000 0.000
Sr: 0.667 0.333 0.500
Cd: 0.333 0.667 0.000
F: 0.021 0.350 0.229
F: 0.021 0.671 0.771
F: 0.329 0.350 0.771
F: 0.329 0.979 0.229
F: 0.650 0.671 0.229
F: 0.650 0.979 0.771


(11)
# NaTl2CdF6
Theoretical powder diffractogram, Cu Kα. Input: a DFT-relaxed cell (PBE, Alexandria).

Most intense lines, 2θ from 5° to 70°, by angle:
d_spacing  I (rel.)
4.391  43
4.361  30
3.171  36
3.108  100
3.081  99
3.043  43
2.196  37
2.180  27
1.947  41
1.774  23

Atomic structure:
Cell: 6.086 6.342 10.574 Å, 90.00 124.44 90.00°
Fractional coordinates of all 20 atoms:
Na: 0.000 0.000 0.000
Na: 0.000 0.500 0.500
Tl: 0.224 0.060 0.747
Tl: 0.224 0.440 0.247
Tl: 0.776 0.560 0.753
Tl: 0.776 0.940 0.253
Cd: 0.500 0.000 0.500
Cd: 0.500 0.500 0.000
F: 0.141 0.198 0.437
F: 0.141 0.302 0.937
F: 0.228 0.712 0.425
F: 0.228 0.788 0.925
F: 0.386 0.059 0.256
F: 0.386 0.441 0.756
F: 0.614 0.559 0.244
F: 0.614 0.941 0.744
F: 0.772 0.212 0.075
F: 0.772 0.288 0.575
F: 0.859 0.698 0.063
F: 0.859 0.802 0.563


(12)
# NaZnCdF6
Theoretical powder diffractogram, Cu Kα. Input: a DFT-relaxed cell (PBE, Alexandria).

Most intense lines, 2θ from 5° to 70°, by angle:
d_spacing  I (rel.)
5.033  17
4.498  46
3.555  100
2.904  14
2.791  63
2.440  14
1.868  73
1.778  24
1.517  19
1.499  28

Atomic structure:
Cell: 5.028 5.028 10.065 Å, 90.00 90.00 90.00°
Fractional coordinates of all 18 atoms:
Na: 0.000 0.000 0.000
Na: 0.500 0.500 0.500
Zn: 0.000 0.000 0.334
Zn: 0.500 0.500 0.834
Cd: 0.000 0.000 0.668
Cd: 0.500 0.500 0.168
F: 0.182 0.182 0.487
F: 0.191 0.191 0.187
F: 0.219 0.219 0.827
F: 0.281 0.719 0.327
F: 0.309 0.691 0.687
F: 0.318 0.682 0.987
F: 0.682 0.318 0.987
F: 0.691 0.309 0.687
F: 0.719 0.281 0.327
F: 0.781 0.781 0.827
F: 0.809 0.809 0.187
F: 0.818 0.818 0.487